For Fe3OF5, a structure optimized by DFT (PBE+U) gives the simulated powder diffraction line list in this record (Cu Kα X-rays).

Main lines, low angle first (2θ from 10° to 80°):
2θ 25.86, d 3.446, I = 90.7
2θ 26.75, d 3.332, I = 83.2
2θ 33.49, d 2.676, I = 100.0
2θ 38.86, d 2.318, I = 18.4
2θ 50.67, d 1.802, I = 62.4
2θ 51.69, d 1.768, I = 49.9
2θ 53.16, d 1.723, I = 18.4
2θ 65.19, d 1.431, I = 39.7

Atomic structure:
Cell lengths 9.6767, 4.7935, 4.7935 Å; angles 91.92, 90.00, 90.00 degrees
Fractional coordinates of all 18 atoms:
Fe: 0.0000 0.0000 0.0000
Fe: 0.1619 0.4554 0.4554
Fe: 0.3241 0.9828 0.9828
Fe: 0.5000 0.4809 0.4809
Fe: 0.6759 0.9828 0.9828
Fe: 0.8381 0.4554 0.4554
O: 0.1563 0.1682 0.1682
O: 0.8437 0.1682 0.1682
F: 0.0000 0.2680 0.6729
F: 0.0000 0.6729 0.2680
F: 0.1505 0.7630 0.7630
F: 0.3268 0.2813 0.6709
F: 0.3268 0.6709 0.2813
F: 0.5000 0.1776 0.1776
F: 0.5000 0.7845 0.7845
F: 0.6732 0.2813 0.6709
F: 0.6732 0.6709 0.2813
F: 0.8495 0.7630 0.7630